(1)
TbDy2Ho2Sc: computed X-ray diffraction stick pattern (Cu Ka), based on a crystal structure in Alexandria, relaxed with PBE.
Kinematic intensities with the Lorentz-polarization factor, no thermal factor.

Structure:
a = 6.5108 Å, b = 17.2372 Å, c = 3.3120 Å
α = 90.00°, β = 90.00°, γ = 90.00°
Fractional positions:
Tb (0.0000, 0.0000, 0.0000)
Tb (0.5000, 0.5000, 0.5000)
Dy (0.2474, 0.3203, 0.0000)
Dy (0.2526, 0.8203, 0.5000)
Dy (0.7474, 0.1797, 0.5000)
Dy (0.7526, 0.6797, 0.0000)
Ho (0.2461, 0.1469, 0.5000)
Ho (0.2539, 0.6469, 0.0000)
Ho (0.7461, 0.3531, 0.0000)
Ho (0.7539, 0.8531, 0.5000)
Sc (0.0000, 0.5000, 0.0000)
Sc (0.5000, 0.0000, 0.5000)

Peak list (10 most intense, 2θ = 15–90°, by angle)
- 2θ 27.41, I 26
- 2θ 29.33, I 38
- 2θ 31.16, I 100
- 2θ 34.12, I 21
- 2θ 34.53, I 28
- 2θ 39.15, I 28
- 2θ 41.97, I 35
- 2θ 55.46, I 15
- 2θ 57.35, I 12
- 2θ 65.98, I 23

(2)
DyZn8Cu4: computed X-ray diffraction stick pattern (Cu Ka), based on a crystal structure in Alexandria, relaxed with PBE.
Kinematic intensities with the Lorentz-polarization factor, no thermal factor.

Structure:
a = 6.7064 Å, b = 6.7064 Å, c = 6.7064 Å
α = 97.88°, β = 97.88°, γ = 136.54°
Fractional positions:
Dy (0.0000, 0.0000, 0.0000)
Zn (0.0000, 0.3477, 0.3477)
Zn (0.0000, 0.6523, 0.6523)
Zn (0.2816, 0.5000, 0.7816)
Zn (0.3477, 0.0000, 0.3477)
Zn (0.5000, 0.2816, 0.7816)
Zn (0.5000, 0.7184, 0.2184)
Zn (0.6523, 0.0000, 0.6523)
Zn (0.7184, 0.5000, 0.2184)
Cu (0.0000, 0.0000, 0.5000)
Cu (0.0000, 0.5000, 0.0000)
Cu (0.5000, 0.0000, 0.0000)
Cu (0.5000, 0.5000, 0.5000)

Peak list (10 most intense, 2θ = 15–90°, by angle)
- 2θ 28.93, I 21
- 2θ 35.51, I 51
- 2θ 36.18, I 17
- 2θ 40.98, I 60
- 2θ 41.17, I 100
- 2θ 41.76, I 66
- 2θ 46.79, I 36
- 2θ 68.46, I 21
- 2θ 74.77, I 23
- 2θ 75.17, I 23

(3)
Na2MgSn2: computed X-ray diffraction stick pattern (Cu Ka), based on a crystal structure in Alexandria, relaxed with PBE.
Kinematic intensities with the Lorentz-polarization factor, no thermal factor.

Structure:
a = 6.0848 Å, b = 6.0848 Å, c = 10.4397 Å
α = 107.71°, β = 107.71°, γ = 49.94°
Fractional positions:
Na (0.0272, 0.0272, 0.3345)
Na (0.1670, 0.1670, 0.0669)
Na (0.8330, 0.8330, 0.9331)
Na (0.9728, 0.9728, 0.6655)
Mg (0.2735, 0.2735, 0.6343)
Mg (0.7265, 0.7265, 0.3657)
Sn (0.3713, 0.3713, 0.3878)
Sn (0.4848, 0.4848, 0.1366)
Sn (0.5152, 0.5152, 0.8634)
Sn (0.6287, 0.6287, 0.6122)

Peak list (10 most intense, 2θ = 15–90°, by angle)
- 2θ 17.06, I 20
- 2θ 19.27, I 93
- 2θ 21.86, I 27
- 2θ 26.85, I 28
- 2θ 31.05, I 30
- 2θ 34.91, I 100
- 2θ 35.36, I 51
- 2θ 36.55, I 24
- 2θ 38.87, I 16
- 2θ 51.45, I 18

(4)
Pd8Pb2Au3: computed X-ray diffraction stick pattern (Cu Ka), based on a crystal structure in Alexandria, relaxed with PBE.
Kinematic intensities with the Lorentz-polarization factor, no thermal factor.

Structure:
a = 4.9114 Å, b = 6.4368 Å, c = 7.6896 Å
α = 83.55°, β = 76.91°, γ = 83.71°
Fractional positions:
Pd (0.0673, 0.3547, 0.3529)
Pd (0.2118, 0.0669, 0.0745)
Pd (0.2849, 0.9243, 0.4279)
Pd (0.4279, 0.6434, 0.1424)
Pd (0.5721, 0.3566, 0.8576)
Pd (0.7151, 0.0757, 0.5721)
Pd (0.7882, 0.9331, 0.9255)
Pd (0.9327, 0.6453, 0.6471)
Pb (0.1608, 0.2322, 0.6936)
Pb (0.8392, 0.7678, 0.3064)
Au (0.0000, 0.5000, 0.0000)
Au (0.3679, 0.7803, 0.7836)
Au (0.6321, 0.2197, 0.2164)

Peak list (10 most intense, 2θ = 15–90°, by angle)
- 2θ 37.81, I 100
- 2θ 38.80, I 44
- 2θ 39.20, I 44
- 2θ 44.64, I 91
- 2θ 63.32, I 11
- 2θ 64.71, I 20
- 2θ 65.26, I 20
- 2θ 76.80, I 12
- 2θ 77.72, I 12
- 2θ 80.78, I 11